Calculated XRD peak list of Al3WO7 for λ = 1.5418 Å (Cu Kα), from a structure optimized by DFT (GGA+U).
Intensities are scaled so that the largest is 100.

The 10 most intense peaks (5 to 70 degrees two-theta), by angle:
2theta	I (rel.)	index
17.9	82	1 0 1
22.1	80	1 1 0
28.4	68	0 1 2
28.6	100	0 2 1
36.4	42	2 1 1
44.7	34	1 1 3
45.0	29	2 2 0
48.8	29	1 3 1
55.6	24	0 3 3
63.9	19	2 3 2

Structure:
```
data_Al3WO7
_cell_length_a 8.0529
_cell_length_b 8.0529
_cell_length_c 7.0452
_cell_angle_alpha 90.00
_cell_angle_beta 90.00
_cell_angle_gamma 120.00
_symmetry_space_group_name_H-M 'R 3 m'
_symmetry_Int_Tables_number 160
_symmetry_space_group_name_Hall 'R 3 -2"'
loop_
_atom_site_label
_atom_site_type_symbol
_atom_site_fract_x
_atom_site_fract_y
_atom_site_fract_z
Al1 Al 0.2106 0.4211 0.0000
W1 W 0.0000 0.0000 0.7362
O1 O 0.0000 0.0000 0.4568
O2 O 0.0626 0.5313 0.8955
O3 O 0.0863 0.5432 0.4888
```